For Cd3Cu2P10, DFT lattice parameters and positions (PBE) gives the calculated powder XRD pattern in this record (Cu Kα (λ = 1.5418 Å)).
Peak positions follow from Bragg's law for the DFT cell and can differ from measured ones.

Cell and atoms:
a = 7.469 Å, b = 7.469 Å, c = 7.469 Å
α = 60.16°, β = 60.16°, γ = 60.16°
Fractional coordinates of all 15 atoms:
Cd1 0.206 0.206 0.589
Cd2 0.206 0.589 0.206
Cd3 0.589 0.206 0.206
Cu1 0.192 0.192 0.192
Cu2 0.802 0.802 0.802
P1 0.187 0.673 0.673
P2 0.309 0.309 0.810
P3 0.309 0.810 0.309
P4 0.314 0.790 0.790
P5 0.673 0.187 0.673
P6 0.673 0.673 0.187
P7 0.674 0.674 0.674
P8 0.790 0.314 0.790
P9 0.790 0.790 0.314
P10 0.810 0.309 0.309

Most intense lines, 10 to 80 degrees two-theta, sorted by position:
| 2theta | Rel. int. |
| --- | --- |
| 14.51 | 235 |
| 16.77 | 179 |
| 27.98 | 223 |
| 29.26 | 1000 |
| 37.03 | 214 |
| 41.82 | 152 |
| 44.50 | 377 |
| 48.65 | 192 |
| 48.77 | 247 |
| 51.86 | 108 |
| 57.81 | 146 |
| 62.70 | 72 |